Record 1
For BiSe, a cell relaxed with PBE gives the calculated XRD peak list in this record (Cu Kα, 1.54184 Å).

Principal peaks in the range 2θ from 10° to 80°, by angle:
2theta  I_rel  (hkl)
25.04  36  1 1 1
28.99  100  2 0 0
41.46  77  2 2 0
49.05  20  3 1 1
51.38  28  2 2 2
60.08  13  4 0 0
66.12  8  3 3 1
68.07  36  4 2 0
75.63  27  4 2 2

```
data_BiSe
_chemical_formula_sum 'Bi4 Se4'
_symmetry_space_group_name_H-M 'F m -3 m'
_symmetry_Int_Tables_number 225
_symmetry_space_group_name_Hall '-F 4 2 3'
_cell_length_a 6.1601
_cell_length_b 6.1601
_cell_length_c 6.1601
_cell_angle_alpha 90.00
_cell_angle_beta 90.00
_cell_angle_gamma 90.00
loop_
_atom_site_label
_atom_site_fract_x
_atom_site_fract_y
_atom_site_fract_z
Bi1 0.0000 0.0000 0.0000
Se1 0.0000 0.0000 0.5000
```


Record 2
For BaSe2O6, a cell relaxed with PBE gives the calculated XRD peak list in this record (Cu Kα, 1.54184 Å).

Principal peaks in the range 2θ from 10° to 80°, by angle:
2theta  I_rel  (hkl)
19.49  50  1 0 -1
21.33  26  0 1 1
22.38  46  1 0 1
22.99  53  0 2 -1
25.63  100  1 -2 1
27.27  71  1 0 -2
31.48  41  1 0 2
31.92  28  1 2 -1
33.63  79  0 2 1
34.06  39  2 -1 0
35.05  37  2 0 0
35.77  51  0 0 3

```
data_BaSe2O6
_chemical_formula_sum 'Ba2 Se4 O12'
_symmetry_space_group_name_H-M 'P -1'
_symmetry_Int_Tables_number 2
_cell_length_a 5.3043
_cell_length_b 7.9321
_cell_length_c 8.5523
_cell_angle_alpha 117.13
_cell_angle_beta 91.54
_cell_angle_gamma 102.66
loop_
_symmetry_equiv_pos_as_xyz
'x,y,z'
'-x,-y,-z'
loop_
_atom_site_label
_atom_site_fract_x
_atom_site_fract_y
_atom_site_fract_z
Ba1 0.1898 0.2495 0.3369
Se1 0.2379 0.4907 0.0065
Se2 0.3402 0.7861 0.3486
O1 0.1125 0.8998 0.3375
O2 0.2361 0.5729 0.8267
O3 0.2367 0.6777 0.4772
O4 0.2560 0.0342 0.9420
O5 0.4034 0.4938 0.7001
O6 0.4461 0.0277 0.8504
```


Record 3
For LiSn2P3O10, a cell relaxed with PBE gives the calculated XRD peak list in this record (Cu Kα, 1.54184 Å).

Principal peaks in the range 2θ from 10° to 80°, by angle:
2theta  I_rel  (hkl)
17.52  28  1 0 0
17.71  20  0 0 2
22.48  28  1 1 1
23.96  39  1 0 -2
26.15  100  1 2 0
27.79  24  1 1 2
30.43  29  0 3 1
30.87  42  1 0 -3
33.13  35  0 2 3
34.23  19  0 3 2
39.39  18  1 3 2
46.78  36  2 0 3

```
data_LiSn2P3O10
_chemical_formula_sum 'Li2 Sn4 P6 O20'
_symmetry_space_group_name_H-M 'P 1 21/m 1'
_symmetry_Int_Tables_number 11
_cell_length_a 5.0793
_cell_length_b 9.2187
_cell_length_c 10.0510
_cell_angle_alpha 90.00
_cell_angle_beta 94.63
_cell_angle_gamma 90.00
loop_
_symmetry_equiv_pos_as_xyz
'x,y,z'
'-x,-y,-z'
'-x,y+1/2,-z'
'x,-y+1/2,z'
loop_
_atom_site_label
_atom_site_fract_x
_atom_site_fract_y
_atom_site_fract_z
Li1 0.0000 0.0000 0.0000
Sn1 0.0274 0.0579 0.3264
P1 0.2919 0.2500 0.8370
P2 0.4176 0.2500 0.1237
P3 0.4407 0.7500 0.4322
O1 0.1302 0.1109 0.8363
O2 0.2498 0.1109 0.1379
O3 0.2786 0.6110 0.4441
O4 0.2985 0.2500 0.4824
O5 0.3192 0.7500 0.7960
O6 0.4949 0.2500 0.7276
O7 0.4954 0.2500 0.9674
```


Record 4
For K3HPdS2Cl2O6, a cell relaxed with PBE gives the calculated XRD peak list in this record (Cu Kα, 1.54184 Å).

Principal peaks in the range 2θ from 10° to 80°, by angle:
2theta  I_rel  (hkl)
11.56  29  2 0 0
16.03  100  1 1 1
16.69  28  0 2 0
23.89  23  2 2 1
26.97  25  1 1 2
27.55  22  2 0 2
28.74  19  1 3 1
31.40  38  4 2 1
32.39  20  2 2 2
33.25  38  3 3 1
34.33  23  4 0 2
40.95  21  5 3 1

```
data_K3HPdS2Cl2O6
_chemical_formula_sum 'K12 H4 Pd4 S8 Cl8 O24'
_symmetry_space_group_name_H-M 'C m c 21'
_symmetry_Int_Tables_number 36
_cell_length_a 15.3162
_cell_length_b 10.6236
_cell_length_c 7.1440
_cell_angle_alpha 90.00
_cell_angle_beta 90.00
_cell_angle_gamma 90.00
loop_
_symmetry_equiv_pos_as_xyz
'x,y,z'
'-x,-y,z+1/2'
'-x,y,z'
'x,-y,z+1/2'
'x+1/2,y+1/2,z'
'-x+1/2,-y+1/2,z+1/2'
'-x+1/2,y+1/2,z'
'x+1/2,-y+1/2,z+1/2'
loop_
_atom_site_label
_atom_site_fract_x
_atom_site_fract_y
_atom_site_fract_z
K1 0.0000 0.1211 0.0000
K2 0.2226 0.3589 0.8221
H1 0.0000 0.4888 0.2486
Pd1 0.0000 0.2480 0.4768
S1 0.1091 0.3519 0.3188
Cl1 0.1110 0.1200 0.6260
O1 0.0785 0.4838 0.2549
O2 0.1284 0.2742 0.1496
O3 0.1897 0.3730 0.4293
```


Record 5
For Ce2Si6Pd21, a cell relaxed with PBE gives the calculated XRD peak list in this record (Cu Kα, 1.54184 Å).

Principal peaks in the range 2θ from 10° to 80°, by angle:
2theta  I_rel  (hkl)
32.62  26  4 2 0
35.83  30  4 2 2
38.08  100  3 3 3
41.61  31  4 4 0
43.61  29  5 3 1
44.26  10  6 0 0
49.23  14  6 2 2
62.36  8  6 4 4
64.39  28  6 6 0
65.88  14  5 5 5
75.93  20  8 4 4
77.32  9  9 3 3

```
data_Ce2Si6Pd21
_chemical_formula_sum 'Ce8 Si24 Pd84'
_symmetry_space_group_name_H-M 'F m -3 m'
_symmetry_Int_Tables_number 225
_symmetry_space_group_name_Hall '-F 4 2 3'
_cell_length_a 12.2782
_cell_length_b 12.2782
_cell_length_c 12.2782
_cell_angle_alpha 90.00
_cell_angle_beta 90.00
_cell_angle_gamma 90.00
loop_
_atom_site_label
_atom_site_fract_x
_atom_site_fract_y
_atom_site_fract_z
Ce1 0.2500 0.2500 0.2500
Si1 0.0000 0.0000 0.2368
Pd1 0.0000 0.0000 0.5000
Pd2 0.0000 0.1726 0.3274
Pd3 0.1165 0.1165 0.1165
```


Record 6
For NaMg4Si6O18, a cell relaxed with PBE gives the calculated XRD peak list in this record (Cu Kα, 1.54184 Å).

Principal peaks in the range 2θ from 10° to 80°, by angle:
2theta  I_rel  (hkl)
18.45  36  0 2 1
18.82  63  0 6 0
21.45  50  0 4 1
24.97  50  2 4 -1
26.29  37  2 6 0
27.62  100  3 1 0
33.37  74  2 8 -1
35.10  59  0 0 2
38.89  25  1 1 2
54.11  33  5 9 -1
62.77  26  5 9 1
70.29  27  0 18 2

```
data_NaMg4Si6O18
_chemical_formula_sum 'Na4 Mg16 Si24 O72'
_symmetry_space_group_name_H-M 'C 1 2/c 1'
_symmetry_Int_Tables_number 15
_cell_length_a 10.1297
_cell_length_b 28.2879
_cell_length_c 5.3105
_cell_angle_alpha 90.00
_cell_angle_beta 105.68
_cell_angle_gamma 90.00
loop_
_symmetry_equiv_pos_as_xyz
'x,y,z'
'-x,-y,-z'
'-x,y,-z+1/2'
'x,-y,z+1/2'
'x+1/2,y+1/2,z'
'-x+1/2,-y+1/2,-z'
'-x+1/2,y+1/2,-z+1/2'
'x+1/2,-y+1/2,z+1/2'
loop_
_atom_site_label
_atom_site_fract_x
_atom_site_fract_y
_atom_site_fract_z
Na1 0.0000 0.2290 0.2500
Mg1 0.0000 0.2965 0.7500
Mg2 0.0000 0.3463 0.2500
Mg3 0.0000 0.4124 0.7500
Mg4 0.0000 0.4782 0.2500
Si1 0.2096 0.1947 0.7675
Si2 0.2170 0.0281 0.2651
Si3 0.2202 0.1386 0.2681
O1 0.0628 0.4132 0.1986
O2 0.1120 0.3574 0.6560
O3 0.1134 0.4717 0.6540
O4 0.1234 0.3016 0.1437
O5 0.1278 0.2447 0.6987
O6 0.1548 0.1667 0.9928
O7 0.1601 0.1634 0.4921
O8 0.1618 0.0013 0.4903
O9 0.1683 0.0832 0.2316
```


Record 7
For Sc3P2, a cell relaxed with PBE gives the calculated XRD peak list in this record (Cu Kα, 1.54184 Å).

Principal peaks in the range 2θ from 10° to 80°, by angle:
2theta  I_rel  (hkl)
31.11  88  1 1 2
31.84  77  3 0 2
34.78  87  2 1 2
36.03  100  0 1 3
36.47  38  4 0 1
36.79  45  1 0 4
36.97  50  3 1 1
37.13  72  1 1 3
39.74  45  4 0 2
40.20  98  3 1 2
44.07  42  4 1 1
48.92  68  0 2 0

```
data_Sc3P2
_chemical_formula_sum 'Sc12 P8'
_symmetry_space_group_name_H-M 'P n m a'
_symmetry_Int_Tables_number 62
_cell_length_a 10.1633
_cell_length_b 3.7239
_cell_length_c 10.0685
_cell_angle_alpha 90.00
_cell_angle_beta 90.00
_cell_angle_gamma 90.00
loop_
_symmetry_equiv_pos_as_xyz
'x,y,z'
'-x,-y,-z'
'-x+1/2,-y,z+1/2'
'x+1/2,y,-z+1/2'
'x+1/2,-y+1/2,-z+1/2'
'-x+1/2,y+1/2,z+1/2'
'-x,y+1/2,-z'
'x,-y+1/2,z'
loop_
_atom_site_label
_atom_site_fract_x
_atom_site_fract_y
_atom_site_fract_z
Sc1 0.0473 0.2500 0.1323
Sc2 0.1250 0.7500 0.5630
Sc3 0.2229 0.2500 0.8011
P1 0.0109 0.7500 0.3191
P2 0.1861 0.7500 0.9972
```


Record 8
For Cs2RbTmCl6, a cell relaxed with PBE gives the calculated XRD peak list in this record (Cu Kα, 1.54184 Å).

Principal peaks in the range 2θ from 10° to 80°, by angle:
2theta  I_rel  (hkl)
13.35  13  1 1 1
21.88  100  2 2 0
26.89  10  2 2 2
31.14  54  4 0 0
38.39  45  4 2 2
44.62  37  4 4 0
50.23  24  6 2 0
55.41  12  4 4 4
60.29  27  6 4 2
69.42  12  6 6 0
73.78  15  8 4 0
78.03  7  6 6 4

```
data_Cs2RbTmCl6
_chemical_formula_sum 'Cs8 Rb4 Tm4 Cl24'
_symmetry_space_group_name_H-M 'F m -3 m'
_symmetry_Int_Tables_number 225
_symmetry_space_group_name_Hall '-F 4 2 3'
_cell_length_a 11.4874
_cell_length_b 11.4874
_cell_length_c 11.4874
_cell_angle_alpha 90.00
_cell_angle_beta 90.00
_cell_angle_gamma 90.00
loop_
_atom_site_label
_atom_site_fract_x
_atom_site_fract_y
_atom_site_fract_z
Cs1 0.2500 0.2500 0.2500
Rb1 0.0000 0.0000 0.0000
Tm1 0.0000 0.0000 0.5000
Cl1 0.0000 0.0000 0.2733
```


Record 9
For HgH12C2Br4N6, a cell relaxed with PBE gives the calculated XRD peak list in this record (Cu Kα, 1.54184 Å).

Principal peaks in the range 2θ from 10° to 80°, by angle:
2theta  I_rel  (hkl)
12.24  100  1 1 -1
13.82  30  0 0 2
15.18  49  1 1 1
15.66  22  0 2 0
20.94  23  0 2 2
23.28  68  2 2 -1
26.14  23  0 2 3
26.49  38  1 1 3
27.44  27  3 1 -2
30.99  20  1 3 -3
38.71  19  3 3 1
39.93  21  1 1 5

```
data_HgH12C2Br4N6
_chemical_formula_sum 'Hg4 H48 C8 Br16 N24'
_symmetry_space_group_name_H-M 'C 1 2/c 1'
_symmetry_Int_Tables_number 15
_cell_length_a 10.3835
_cell_length_b 11.3197
_cell_length_c 13.5349
_cell_angle_alpha 90.00
_cell_angle_beta 108.80
_cell_angle_gamma 90.00
loop_
_symmetry_equiv_pos_as_xyz
'x,y,z'
'-x,-y,-z'
'-x,y,-z+1/2'
'x,-y,z+1/2'
'x+1/2,y+1/2,z'
'-x+1/2,-y+1/2,-z'
'-x+1/2,y+1/2,-z+1/2'
'x+1/2,-y+1/2,z+1/2'
loop_
_atom_site_label
_atom_site_fract_x
_atom_site_fract_y
_atom_site_fract_z
Hg1 0.0000 0.2121 0.2500
H1 0.0108 0.1556 0.9373
H2 0.0740 0.4597 0.6051
H3 0.1188 0.3258 0.5631
H4 0.1339 0.4739 0.8527
H5 0.1474 0.1641 0.8881
H6 0.2211 0.3437 0.8490
C1 0.0563 0.3221 0.8983
Br1 0.1153 0.1071 0.4302
Br2 0.1890 0.3642 0.2193
N1 0.0469 0.3752 0.5803
N2 0.0749 0.2057 0.9114
N3 0.1442 0.3856 0.8660
```